Starting from the GGA-PBE geometry in Alexandria, the PXRD pattern of NdNp2Ni9 was computed for Cu Kα X-rays.
Kinematic intensities with the Lorentz-polarization factor, no thermal factor.

Structural model:
```
NdNp2Ni9
1.0
2.468 1.425 8.153
-2.468 1.425 8.153
0.000 -2.850 8.153
Nd Np Ni
1 2 9
direct
0.000 0.000 0.000 Nd
0.145 0.145 0.145 Np
0.855 0.855 0.855 Np
0.083 0.583 0.583 Ni
0.333 0.333 0.333 Ni
0.417 0.417 0.917 Ni
0.417 0.917 0.417 Ni
0.500 0.500 0.500 Ni
0.583 0.083 0.583 Ni
0.583 0.583 0.083 Ni
0.667 0.667 0.667 Ni
0.917 0.417 0.417 Ni
```

Top 8 peaks for 10° ≤ 2θ ≤ 90°, by angle:
| 2theta | I (rel.) |
| --- | --- |
| 10.85 | 30 |
| 33.11 | 57 |
| 36.12 | 28 |
| 36.40 | 58 |
| 42.45 | 34 |
| 42.83 | 100 |
| 69.93 | 23 |
| 77.32 | 19 |